Entry 1:
Diffraction record for VSiPt. The XRD peak list is computed, not measured: it uses a cell relaxed with GGA-PBE and Cu Kα (λ = 1.5418 Å).

Principal peaks in the range 2θ from 10° to 90°, sorted by position:
- hkl 1 1 1, 26.5 deg, intensity 100.0
- hkl 2 0 0, 30.7 deg, intensity 17.2
- hkl 2 2 0, 44.0 deg, intensity 76.0
- hkl 3 1 1, 52.1 deg, intensity 48.1
- hkl 2 2 2, 54.6 deg, intensity 5.2
- hkl 4 0 0, 64.0 deg, intensity 12.3
- hkl 3 3 1, 70.5 deg, intensity 19.6
- hkl 4 2 0, 72.6 deg, intensity 7.0
- hkl 4 2 2, 80.9 deg, intensity 25.5
- hkl 5 1 1, 86.9 deg, intensity 15.6

Cell and atoms:
```
data_VSiPt
_cell_length_a 5.822
_cell_length_b 5.822
_cell_length_c 5.822
_cell_angle_alpha 90.00
_cell_angle_beta 90.00
_cell_angle_gamma 90.00
_symmetry_space_group_name_H-M 'F -4 3 m'
_symmetry_Int_Tables_number 216
_symmetry_space_group_name_Hall 'F -4 2 3'
loop_
_atom_site_label
_atom_site_fract_x
_atom_site_fract_y
_atom_site_fract_z
V1 0.000 0.000 0.000
Si1 0.000 0.000 0.500
Pt1 0.250 0.250 0.250
```


Entry 2:
Diffraction record for YSi2Pt2. The XRD peak list is computed, not measured: it uses a cell relaxed with GGA-PBE and Cu Kα (λ = 1.5418 Å).

Principal peaks in the range 2θ from 10° to 90°, sorted by position:
- hkl 0 0 3, 26.8 deg, intensity 35.4
- hkl 1 0 2, 27.8 deg, intensity 44.5
- hkl 1 1 1, 31.6 deg, intensity 100.0
- hkl 1 0 3, 34.4 deg, intensity 60.1
- hkl 1 1 2, 35.3 deg, intensity 91.9
- hkl 2 0 0, 43.3 deg, intensity 75.2
- hkl 1 1 4, 47.7 deg, intensity 49.6
- hkl 2 0 3, 51.6 deg, intensity 24.7
- hkl 2 1 3, 56.5 deg, intensity 28.9
- hkl 2 2 0, 62.9 deg, intensity 24.9
- hkl 3 1 2, 74.2 deg, intensity 21.0
- hkl 3 1 4, 82.6 deg, intensity 21.2

Cell and atoms:
```
data_YSi2Pt2
_cell_length_a 4.179
_cell_length_b 4.179
_cell_length_c 9.984
_cell_angle_alpha 90.00
_cell_angle_beta 90.00
_cell_angle_gamma 90.00
_symmetry_space_group_name_H-M 'P 4/n m m'
_symmetry_Int_Tables_number 129
loop_
_symmetry_equiv_pos_as_xyz
'x,y,z'
'-x,-y,-z'
'-y+1/2,x,z'
'y+1/2,-x,-z'
'-x+1/2,-y+1/2,z'
'x+1/2,y+1/2,-z'
'y,-x+1/2,z'
'-y,x+1/2,-z'
'x+1/2,-y,-z'
'-x+1/2,y,z'
'-y,-x,-z'
'y,x,z'
'-x,y+1/2,-z'
'x,-y+1/2,z'
'y+1/2,x+1/2,-z'
'-y+1/2,-x+1/2,z'
loop_
_atom_site_label
_atom_site_fract_x
_atom_site_fract_y
_atom_site_fract_z
Y1 0.250 0.250 0.248
Si1 0.250 0.250 0.638
Si2 0.250 0.750 0.000
Pt1 0.250 0.250 0.876
Pt2 0.250 0.750 0.500
```


Entry 3:
Diffraction record for YSi2Pt2. The XRD peak list is computed, not measured: it uses a cell relaxed with GGA-PBE and Cu Kα (λ = 1.5418 Å).

Principal peaks in the range 2θ from 10° to 90°, sorted by position:
- hkl 0 0 2, 17.9 deg, intensity 46.5
- hkl 1 1 0, 30.2 deg, intensity 17.8
- hkl 1 1 2, 35.3 deg, intensity 100.0
- hkl 0 0 4, 36.2 deg, intensity 17.8
- hkl 2 0 0, 43.2 deg, intensity 34.9
- hkl 2 0 2, 47.1 deg, intensity 16.3
- hkl 1 1 4, 47.8 deg, intensity 22.8
- hkl 2 0 4, 57.6 deg, intensity 18.9
- hkl 2 2 0, 62.8 deg, intensity 11.6
- hkl 1 1 6, 64.5 deg, intensity 16.0
- hkl 3 1 2, 74.1 deg, intensity 23.4
- hkl 3 1 4, 82.6 deg, intensity 9.8

Cell and atoms:
```
data_YSi2Pt2
_cell_length_a 4.186
_cell_length_b 4.186
_cell_length_c 9.932
_cell_angle_alpha 90.00
_cell_angle_beta 90.00
_cell_angle_gamma 90.00
_symmetry_space_group_name_H-M 'I 4/m m m'
_symmetry_Int_Tables_number 139
_symmetry_space_group_name_Hall '-I 4 2'
loop_
_atom_site_label
_atom_site_fract_x
_atom_site_fract_y
_atom_site_fract_z
Y1 0.000 0.000 0.000
Si1 0.000 0.000 0.383
Pt1 0.000 0.500 0.250
```


Entry 4:
Diffraction record for Y2Si3Pt3. The XRD peak list is computed, not measured: it uses a cell relaxed with GGA-PBE and Cu Kα (λ = 1.5418 Å).

Principal peaks in the range 2θ from 10° to 90°, sorted by position:
- hkl 0 0 3, 12.8 deg, intensity 70.3
- hkl 0 0 5, 21.4 deg, intensity 36.2
- hkl 1 0 0, 31.9 deg, intensity 100.0
- hkl 0 0 8, 34.5 deg, intensity 62.6
- hkl 1 0 5, 38.8 deg, intensity 33.2
- hkl 1 1 0, 45.8 deg, intensity 36.8
- hkl 1 0 8, 47.8 deg, intensity 67.1
- hkl 1 1 5, 51.1 deg, intensity 15.4
- hkl 1 1 8, 58.6 deg, intensity 30.2
- hkl 2 1 0, 75.9 deg, intensity 16.6
- hkl 2 0 8, 77.4 deg, intensity 19.1
- hkl 2 1 8, 86.1 deg, intensity 20.9

Cell and atoms:
```
data_Y2Si3Pt3
_cell_length_a 2.803
_cell_length_b 2.803
_cell_length_c 20.761
_cell_angle_alpha 90.00
_cell_angle_beta 90.00
_cell_angle_gamma 90.00
_symmetry_space_group_name_H-M 'P 4/m m m'
_symmetry_Int_Tables_number 123
_symmetry_space_group_name_Hall '-P 4 2'
loop_
_atom_site_label
_atom_site_fract_x
_atom_site_fract_y
_atom_site_fract_z
Y1 0.000 0.000 0.248
Si1 0.000 0.000 0.000
Si2 0.000 0.000 0.387
Pt1 0.000 0.000 0.114
Pt2 0.000 0.000 0.500
```